No. 1
# BaTl2Cl4
Computed X-ray diffraction stick pattern, CuKα. Input: a DFT-relaxed cell (GGA-PBE, Alexandria).

Peak list (12 most intense, 10° ≤ 2θ ≤ 80°, by angle)
2θ (°)  Rel. int.
18.86  16
18.96  33
22.18  100
22.35  51
23.24  16
35.05  39
35.40  19
38.26  29
38.47  58
44.76  17
52.91  20
69.31  17

Structure:
abc: 9.4099 9.4099 13.1654
angles: 90.00 90.00 90.00
Fractional positions:
Ba 0.0000 0.2618 0.0000
Ba 0.0000 0.7382 0.5000
Ba 0.2618 0.0000 0.7500
Ba 0.7382 0.0000 0.2500
Tl 0.2442 0.2442 0.3750
Tl 0.2442 0.7558 0.1250
Tl 0.2655 0.5000 0.7500
Tl 0.5000 0.2655 0.0000
Tl 0.5000 0.7345 0.5000
Tl 0.7345 0.5000 0.2500
Tl 0.7558 0.2442 0.6250
Tl 0.7558 0.7558 0.8750
Cl 0.0294 0.2364 0.7661
Cl 0.0294 0.7636 0.7339
Cl 0.2364 0.0294 0.9839
Cl 0.2364 0.9706 0.5161
Cl 0.2398 0.4821 0.9969
Cl 0.2398 0.5179 0.5031
Cl 0.4821 0.2398 0.7531
Cl 0.4821 0.7602 0.7469
Cl 0.5179 0.2398 0.2469
Cl 0.5179 0.7602 0.2531
Cl 0.7602 0.4821 0.0031
Cl 0.7602 0.5179 0.4969
Cl 0.7636 0.0294 0.0161
Cl 0.7636 0.9706 0.4839
Cl 0.9706 0.2364 0.2339
Cl 0.9706 0.7636 0.2661

---

No. 2
# Ba2TmCl7
Computed X-ray diffraction stick pattern, CuKα. Input: a DFT-relaxed cell (GGA-PBE, Alexandria).

Peak list (12 most intense, 10° ≤ 2θ ≤ 80°, by angle)
2θ (°)  Rel. int.
18.98  27
21.14  32
21.33  100
21.71  58
21.90  34
22.97  30
25.61  34
32.98  27
34.23  50
35.50  81
37.89  59
42.72  41

Structure:
abc: 6.9569 15.6076 10.6276
angles: 90.00 90.57 90.00
Fractional positions:
Ba 0.2323 0.2192 0.4530
Ba 0.2323 0.2808 0.9530
Ba 0.2328 0.5596 0.3238
Ba 0.2328 0.9404 0.8238
Ba 0.7672 0.0596 0.1762
Ba 0.7672 0.4404 0.6762
Ba 0.7677 0.7192 0.0470
Ba 0.7677 0.7808 0.5470
Tm 0.2790 0.6273 0.7798
Tm 0.2790 0.8727 0.2798
Tm 0.7210 0.1273 0.7202
Tm 0.7210 0.3727 0.2202
Cl 0.0127 0.7423 0.2990
Cl 0.0127 0.7577 0.7990
Cl 0.0138 0.6060 0.5855
Cl 0.0138 0.8940 0.0855
Cl 0.1962 0.6359 0.0217
Cl 0.1962 0.8641 0.5217
Cl 0.1988 0.0381 0.2865
Cl 0.1988 0.4619 0.7865
Cl 0.3844 0.0702 0.6237
Cl 0.3844 0.4298 0.1237
Cl 0.4947 0.7284 0.2916
Cl 0.4947 0.7716 0.7916
Cl 0.4961 0.6048 0.5725
Cl 0.4961 0.8952 0.0725
Cl 0.5039 0.1048 0.9275
Cl 0.5039 0.3952 0.4275
Cl 0.5053 0.2284 0.2084
Cl 0.5053 0.2716 0.7084
Cl 0.6156 0.5702 0.8763
Cl 0.6156 0.9298 0.3763
Cl 0.8012 0.5381 0.2135
Cl 0.8012 0.9619 0.7135
Cl 0.8038 0.1359 0.4783
Cl 0.8038 0.3641 0.9783
Cl 0.9862 0.1060 0.9145
Cl 0.9862 0.3940 0.4145
Cl 0.9873 0.2423 0.2010
Cl 0.9873 0.2577 0.7010

---

No. 3
# BaU2Cl11
Computed X-ray diffraction stick pattern, CuKα. Input: a DFT-relaxed cell (GGA-PBE, Alexandria).

Peak list (12 most intense, 10° ≤ 2θ ≤ 80°, by angle)
2θ (°)  Rel. int.
12.76  34
16.47  45
17.64  100
19.50  39
23.33  19
25.37  18
33.27  32
34.09  35
34.96  24
36.36  27
45.00  20
52.63  15

Structure:
abc: 10.9939 10.9939 10.9939
angles: 113.53 113.42 101.73
Fractional positions:
Ba 0.2500 0.2500 0.0000
Ba 0.7500 0.7500 0.0000
U 0.1612 0.6614 0.8227
U 0.3388 0.1614 0.5002
U 0.6612 0.8386 0.4998
U 0.8388 0.3386 0.1773
Cl 0.0000 0.5000 0.5000
Cl 0.0740 0.3591 0.1708
Cl 0.0954 0.9276 0.2854
Cl 0.1422 0.4276 0.8322
Cl 0.1883 0.9032 0.8292
Cl 0.1958 0.3068 0.5026
Cl 0.3042 0.8068 0.1110
Cl 0.3117 0.1409 0.7149
Cl 0.3578 0.1900 0.2854
Cl 0.4046 0.6900 0.8322
Cl 0.4260 0.5968 0.2851
Cl 0.5000 0.0000 0.5000
Cl 0.5740 0.4032 0.7149
Cl 0.5954 0.3100 0.1678
Cl 0.6422 0.8100 0.7146
Cl 0.6883 0.8591 0.2851
Cl 0.6958 0.1932 0.8890
Cl 0.8042 0.6932 0.4974
Cl 0.8117 0.0968 0.1708
Cl 0.8578 0.5724 0.1678
Cl 0.9046 0.0724 0.7146
Cl 0.9260 0.6409 0.8292

---

No. 4
# BaW2Cl
Computed X-ray diffraction stick pattern, CuKα. Input: a DFT-relaxed cell (GGA-PBE, Alexandria).

Peak list (12 most intense, 10° ≤ 2θ ≤ 80°, by angle)
2θ (°)  Rel. int.
10.77  100
21.63  31
30.50  40
34.92  53
37.70  28
38.08  75
41.24  17
47.03  20
52.50  13
52.77  12
57.00  19
64.85  17

Structure:
abc: 3.2922 8.3985 8.3985
angles: 23.84 90.00 90.00
Fractional positions:
Ba 0.0000 0.0000 0.0000
W 0.0000 0.2268 0.2268
W 0.5000 0.6592 0.6592
Cl 0.5000 0.3629 0.3629

---

No. 5
# Ba2WCl
Computed X-ray diffraction stick pattern, CuKα. Input: a DFT-relaxed cell (GGA-PBE, Alexandria).

Peak list (12 most intense, 10° ≤ 2θ ≤ 80°, by angle)
2θ (°)  Rel. int.
23.91  40
26.83  74
27.72  41
33.45  59
34.08  100
34.19  32
39.82  20
42.25  26
55.70  20
59.63  22
61.29  27
63.91  25

Structure:
abc: 9.4652 9.4652 9.4652
angles: 156.82 155.73 33.81
Fractional positions:
Ba 0.0000 0.0000 0.0000
Ba 0.7577 0.2577 0.5000
W 0.3953 0.3953 0.0000
Cl 0.1570 0.6570 0.5000

---

No. 6
# BaY2Cl8
Computed X-ray diffraction stick pattern, CuKα. Input: a DFT-relaxed cell (GGA-PBE, Alexandria).

Peak list (12 most intense, 10° ≤ 2θ ≤ 80°, by angle)
2θ (°)  Rel. int.
10.74  100
11.61  20
19.35  50
19.65  47
21.57  57
22.22  31
31.50  26
32.70  37
33.16  19
36.30  22
38.01  23
41.86  24

Structure:
abc: 9.9331 9.9331 10.3998
angles: 114.19 114.19 59.07
Fractional positions:
Ba 0.0271 0.9729 0.7500
Ba 0.9729 0.0271 0.2500
Y 0.0317 0.4649 0.7871
Y 0.4649 0.0317 0.2871
Y 0.5351 0.9683 0.7129
Y 0.9683 0.5351 0.2129
Cl 0.0147 0.7889 0.4126
Cl 0.0617 0.6453 0.0666
Cl 0.1284 0.6132 0.7163
Cl 0.2111 0.9853 0.0874
Cl 0.2661 0.3496 0.3396
Cl 0.3496 0.2661 0.8396
Cl 0.3547 0.9383 0.4334
Cl 0.3868 0.8716 0.7837
Cl 0.6132 0.1284 0.2163
Cl 0.6453 0.0617 0.5666
Cl 0.6504 0.7339 0.1604
Cl 0.7339 0.6504 0.6604
Cl 0.7889 0.0147 0.9126
Cl 0.8716 0.3868 0.2837
Cl 0.9383 0.3547 0.9334
Cl 0.9853 0.2111 0.5874

---

No. 7
# Ba2YCl7
Computed X-ray diffraction stick pattern, CuKα. Input: a DFT-relaxed cell (GGA-PBE, Alexandria).

Peak list (12 most intense, 10° ≤ 2θ ≤ 80°, by angle)
2θ (°)  Rel. int.
15.80  30
18.24  24
20.08  55
20.69  100
25.87  20
33.92  50
34.10  75
35.16  27
37.12  31
38.20  23
39.22  17
40.30  21

Structure:
abc: 10.7481 7.1355 16.9057
angles: 90.00 90.00 90.00
Fractional positions:
Ba 0.1281 0.2500 0.2216
Ba 0.1720 0.2500 0.9408
Ba 0.3280 0.7500 0.4408
Ba 0.3719 0.7500 0.7216
Ba 0.6281 0.2500 0.2784
Ba 0.6720 0.2500 0.5592
Ba 0.8280 0.7500 0.0592
Ba 0.8719 0.7500 0.7784
Y 0.0879 0.2500 0.6520
Y 0.4121 0.7500 0.1520
Y 0.5879 0.2500 0.8480
Y 0.9121 0.7500 0.3480
Cl 0.0337 0.7500 0.9390
Cl 0.0925 0.5095 0.3822
Cl 0.0925 0.9905 0.3822
Cl 0.1143 0.0169 0.7763
Cl 0.1143 0.4831 0.7763
Cl 0.2488 0.0094 0.5909
Cl 0.2488 0.4906 0.5909
Cl 0.2512 0.5094 0.0909
Cl 0.2512 0.9906 0.0909
Cl 0.3857 0.5169 0.2763
Cl 0.3857 0.9831 0.2763
Cl 0.4075 0.0095 0.8822
Cl 0.4075 0.4905 0.8822
Cl 0.4663 0.2500 0.4390
Cl 0.5337 0.7500 0.5610
Cl 0.5925 0.5095 0.1178
Cl 0.5925 0.9905 0.1178
Cl 0.6143 0.0169 0.7237
Cl 0.6143 0.4831 0.7237
Cl 0.7488 0.0094 0.9091
Cl 0.7488 0.4906 0.9091
Cl 0.7512 0.5094 0.4091
Cl 0.7512 0.9906 0.4091
Cl 0.8857 0.5169 0.2237
Cl 0.8857 0.9831 0.2237
Cl 0.9075 0.0095 0.6178
Cl 0.9075 0.4905 0.6178
Cl 0.9663 0.2500 0.0610

---

No. 8
# Ba2YCl7
Computed X-ray diffraction stick pattern, CuKα. Input: a DFT-relaxed cell (GGA-PBE, Alexandria).

Peak list (12 most intense, 10° ≤ 2θ ≤ 80°, by angle)
2θ (°)  Rel. int.
18.89  35
21.08  32
21.23  100
21.61  50
21.84  27
25.51  30
32.87  39
34.10  61
35.35  86
36.35  25
37.72  67
42.54  41

Structure:
abc: 6.9840 15.6817 10.6637
angles: 90.00 90.67 90.00
Fractional positions:
Ba 0.2319 0.2195 0.4522
Ba 0.2319 0.2805 0.9522
Ba 0.2328 0.5600 0.3240
Ba 0.2328 0.9400 0.8240
Ba 0.7672 0.0600 0.1760
Ba 0.7672 0.4400 0.6760
Ba 0.7681 0.7195 0.0478
Ba 0.7681 0.7805 0.5478
Y 0.2786 0.6274 0.7805
Y 0.2786 0.8726 0.2805
Y 0.7214 0.1274 0.7195
Y 0.7214 0.3726 0.2195
Cl 0.0108 0.7417 0.3005
Cl 0.0108 0.7583 0.8005
Cl 0.0122 0.6056 0.5842
Cl 0.0122 0.8944 0.0842
Cl 0.1967 0.0394 0.2877
Cl 0.1967 0.4606 0.7877
Cl 0.1984 0.6378 0.0258
Cl 0.1984 0.8622 0.5258
Cl 0.3794 0.0699 0.6232
Cl 0.3794 0.4301 0.1232
Cl 0.4973 0.7272 0.2924
Cl 0.4973 0.7728 0.7924
Cl 0.4982 0.6044 0.5714
Cl 0.4982 0.8956 0.0714
Cl 0.5018 0.1044 0.9286
Cl 0.5018 0.3956 0.4286
Cl 0.5027 0.2272 0.2076
Cl 0.5027 0.2728 0.7076
Cl 0.6206 0.5699 0.8768
Cl 0.6206 0.9301 0.3768
Cl 0.8016 0.1378 0.4742
Cl 0.8016 0.3622 0.9742
Cl 0.8033 0.5394 0.2123
Cl 0.8033 0.9606 0.7123
Cl 0.9878 0.1056 0.9158
Cl 0.9878 0.3944 0.4158
Cl 0.9892 0.2417 0.1995
Cl 0.9892 0.2583 0.6995

---

No. 9
# BaZnCl4
Computed X-ray diffraction stick pattern, CuKα. Input: a DFT-relaxed cell (GGA-PBE, Alexandria).

Peak list (12 most intense, 10° ≤ 2θ ≤ 80°, by angle)
2θ (°)  Rel. int.
18.12  100
25.04  46
28.21  12
29.41  20
34.77  13
36.21  67
36.72  21
44.96  28
47.67  17
51.39  12
59.39  13
61.62  13

Structure:
abc: 8.0689 8.0689 8.0689
angles: 105.30 105.30 118.17
Fractional positions:
Ba 0.3750 0.6250 0.7500
Ba 0.6250 0.3750 0.2500
Zn 0.1250 0.8750 0.2500
Zn 0.8750 0.1250 0.7500
Cl 0.1281 0.6981 0.4300
Cl 0.2319 0.3019 0.9300
Cl 0.3019 0.2319 0.4300
Cl 0.3019 0.8719 0.0700
Cl 0.6981 0.1281 0.9300
Cl 0.6981 0.7681 0.5700
Cl 0.7681 0.6981 0.0700
Cl 0.8719 0.3019 0.5700

---

No. 10
# BaZrCl6
Computed X-ray diffraction stick pattern, CuKα. Input: a DFT-relaxed cell (GGA-PBE, Alexandria).

Peak list (12 most intense, 10° ≤ 2θ ≤ 80°, by angle)
2θ (°)  Rel. int.
17.45  100
23.81  47
25.72  11
29.35  34
31.25  24
35.33  12
38.40  52
40.66  9
40.90  20
44.21  21
45.34  22
55.91  11

Structure:
abc: 6.9233 6.9303 7.5158
angles: 62.64 62.61 60.06
Fractional positions:
Ba 0.0000 0.0000 0.0000
Zr 0.5000 0.5000 0.5000
Cl 0.1174 0.7044 0.7252
Cl 0.2952 0.5472 0.2747
Cl 0.4529 0.1177 0.7245
Cl 0.5471 0.8823 0.2755
Cl 0.7048 0.4528 0.7253
Cl 0.8826 0.2956 0.2748